Structure and simulated powder diffraction line list of CaB4Pt6 (the GGA-PBE geometry in Alexandria; copper Kα).

Atomic structure:
```
CaB4Pt6
1.0
6.119 0.000 0.000
-3.060 5.300 0.000
0.000 0.000 5.354
Ca B Pt
1 4 6
Cartesian
0.000 0.000 0.000
0.000 3.533 3.033
0.000 3.533 4.984
3.060 1.767 0.369
3.060 1.767 2.320
-1.385 2.734 1.340
1.385 2.734 1.340
0.000 5.132 1.340
3.060 0.168 4.014
1.675 2.566 4.014
4.444 2.566 4.014
```

The 6 most intense peaks (2θ from 10° to 90°), sorted by position:
two_theta  I_rel  hkl
16.73  57  1 0 0
33.47  31  0 0 2
33.83  100  2 0 0
37.65  21  1 0 2
48.33  67  2 0 2
80.37  18  2 0 4

---

Structure and simulated powder diffraction line list of TiNb3Pd (the GGA-PBE geometry in Alexandria; copper Kα).

Atomic structure:
```
TiNb3Pd
1.0
2.699 0.000 0.000
0.000 4.716 0.000
0.000 0.000 13.883
Ti Nb Pd
2 6 2
Cartesian
0.000 0.000 0.000
1.349 2.358 6.942
0.000 0.000 5.575
0.000 2.358 4.080
0.000 2.358 9.691
1.349 0.000 2.749
1.349 0.000 11.021
1.349 2.358 12.516
0.000 0.000 8.261
1.349 2.358 1.319
```

The 6 most intense peaks (2θ from 10° to 90°), sorted by position:
two_theta  I_rel  hkl
33.84  22  1 0 1
37.59  100  0 1 5
38.17  48  0 2 0
38.62  30  1 0 3
40.65  63  1 1 2
55.42  20  1 2 3

---

Structure and simulated powder diffraction line list of GePt2Pb (the GGA-PBE geometry in Alexandria; copper Kα).

Atomic structure:
```
GePt2Pb
1.0
5.547 0.000 0.000
0.000 16.041 0.000
0.000 0.000 7.210
Ge Pt Pb
8 16 8
Cartesian
1.237 0.968 0.406
1.237 7.052 4.011
1.537 8.989 0.406
1.537 15.072 4.011
4.010 0.968 3.199
4.010 7.052 6.804
4.310 8.989 3.199
4.310 15.072 6.804
0.010 0.683 5.262
0.010 7.337 1.657
0.049 10.620 1.732
0.049 13.441 5.337
2.725 2.600 1.732
2.725 5.421 5.337
2.764 8.704 5.262
2.764 15.357 1.657
2.783 0.683 5.553
2.783 7.337 1.948
2.822 10.620 1.873
2.822 13.441 5.478
5.498 2.600 1.873
5.498 5.421 5.478
5.538 8.704 5.553
5.538 15.357 1.948
1.342 11.059 4.282
1.342 13.002 0.678
1.432 3.038 4.282
1.432 4.982 0.678
4.115 11.059 6.532
4.115 13.002 2.927
4.205 3.038 6.532
4.205 4.982 2.927
```

The 6 most intense peaks (2θ from 10° to 90°), sorted by position:
two_theta  I_rel  hkl
29.55  34  1 0 2
30.16  64  1 4 1
35.82  30  0 6 1
41.06  66  2 0 2
41.52  100  2 4 1
43.92  67  0 4 3

---

Structure and simulated powder diffraction line list of TbCuSi2Ir (the GGA-PBE geometry in Alexandria; copper Kα).

Atomic structure:
```
TbCuSi2Ir
1.0
4.050 0.000 0.000
0.000 4.050 0.000
0.000 0.000 9.991
Tb Cu Si Ir
2 2 4 2
Cartesian
0.000 0.000 0.000
2.025 2.025 4.996
0.000 2.025 7.493
2.025 0.000 2.498
0.000 0.000 3.807
0.000 0.000 6.185
2.025 2.025 1.189
2.025 2.025 8.802
0.000 2.025 2.498
2.025 0.000 7.493
```

The 6 most intense peaks (2θ from 10° to 90°), sorted by position:
two_theta  I_rel  hkl
23.71  45  1 0 1
34.88  32  1 0 3
35.96  19  0 0 4
36.16  100  1 1 2
44.76  35  2 0 0
76.85  22  3 1 2